Starting from a PBE+U-relaxed structure, the X-ray diffraction stick pattern of SrLa3Ni2O8 was calculated for copper Kα.
Kinematic intensities with the Lorentz-polarization factor, no thermal factor.

Top 6 peaks for 2θ from 10° to 90°, low angle first:
| hkl | d/Å | 2θ/deg | intensity |
| --- | --- | --- | --- |
| 1 1 1 | 3.687 | 24.1 | 20 |
| 1 1 3 | 2.851 | 31.4 | 100 |
| 2 0 0 | 2.724 | 32.9 | 71 |
| 0 0 6 | 2.121 | 42.6 | 31 |
| 2 0 4 | 2.068 | 43.8 | 29 |
| 2 2 0 | 1.926 | 47.2 | 36 |

Structural model:
```
data_SrLa3Ni2O8
_space_group_name_H-M_alt 'A m m 2'
_space_group_IT_number 38
_space_group_name_Hall 'A 2 -2'
_cell_length_a 5.456
_cell_length_b 5.441
_cell_length_c 12.712
_cell_angle_alpha 90.00
_cell_angle_beta 90.00
_cell_angle_gamma 90.00
loop_
_atom_site_label
_atom_site_fract_x
_atom_site_fract_y
_atom_site_fract_z
Sr1 0.000 0.000 0.000
La1 0.000 0.000 0.279
La2 0.500 0.000 0.504
La3 0.500 0.000 0.782
Ni1 0.000 0.000 0.639
Ni2 0.500 0.000 0.137
O1 0.000 0.000 0.467
O2 0.000 0.000 0.806
O3 0.258 0.248 0.145
O4 0.500 0.000 0.322
O5 0.500 0.000 0.966
```

---

Starting from a PBE+U-relaxed structure, the X-ray diffraction stick pattern of La2TcNiO6 was calculated for copper Kα.
Kinematic intensities with the Lorentz-polarization factor, no thermal factor.

Top 6 peaks for 2θ from 10° to 90°, low angle first:
| hkl | d/Å | 2θ/deg | intensity |
| --- | --- | --- | --- |
| 2 2 0 | 2.802 | 31.9 | 100 |
| 2 2 2 | 2.288 | 39.4 | 10 |
| 4 0 0 | 1.981 | 45.8 | 31 |
| 4 2 2 | 1.618 | 56.9 | 39 |
| 4 4 0 | 1.401 | 66.8 | 19 |
| 6 2 0 | 1.253 | 75.9 | 17 |

Structural model:
```
data_La2TcNiO6
_space_group_name_H-M_alt 'F m -3 m'
_space_group_IT_number 225
_space_group_name_Hall '-F 4 2 3'
_cell_length_a 7.925
_cell_length_b 7.925
_cell_length_c 7.925
_cell_angle_alpha 90.00
_cell_angle_beta 90.00
_cell_angle_gamma 90.00
loop_
_atom_site_label
_atom_site_fract_x
_atom_site_fract_y
_atom_site_fract_z
La1 0.250 0.250 0.250
Tc1 0.000 0.000 0.000
Ni1 0.000 0.000 0.500
O1 0.000 0.000 0.249
```

---

Starting from a PBE+U-relaxed structure, the X-ray diffraction stick pattern of LaTiNiO4 was calculated for copper Kα.
Kinematic intensities with the Lorentz-polarization factor, no thermal factor.

Top 6 peaks for 2θ from 10° to 90°, low angle first:
| hkl | d/Å | 2θ/deg | intensity |
| --- | --- | --- | --- |
| 1 0 2 | 3.248 | 27.5 | 100 |
| 1 0 3 | 2.793 | 32.0 | 36 |
| 1 1 1 | 2.646 | 33.9 | 57 |
| 1 1 4 | 2.029 | 44.7 | 47 |
| 2 0 0 | 1.916 | 47.4 | 43 |
| 2 1 2 | 1.650 | 55.7 | 27 |

Structural model:
```
data_LaTiNiO4
_space_group_name_H-M_alt 'P 4/n m m'
_space_group_IT_number 129
_cell_length_a 3.832
_cell_length_b 3.832
_cell_length_c 12.238
_cell_angle_alpha 90.00
_cell_angle_beta 90.00
_cell_angle_gamma 90.00
loop_
_space_group_symop_operation_xyz
'x,y,z'
'-x,-y,-z'
'-y+1/2,x,z'
'y+1/2,-x,-z'
'-x+1/2,-y+1/2,z'
'x+1/2,y+1/2,-z'
'y,-x+1/2,z'
'-y,x+1/2,-z'
'x+1/2,-y,-z'
'-x+1/2,y,z'
'-y,-x,-z'
'y,x,z'
'-x,y+1/2,-z'
'x,-y+1/2,z'
'y+1/2,x+1/2,-z'
'-y+1/2,-x+1/2,z'
loop_
_atom_site_label
_atom_site_fract_x
_atom_site_fract_y
_atom_site_fract_z
La1 0.250 0.250 0.116
Ti1 0.250 0.250 0.712
Ni1 0.250 0.750 0.500
O1 0.250 0.250 0.562
O2 0.250 0.250 0.924
O3 0.250 0.750 0.250
```

---

Starting from a PBE+U-relaxed structure, the X-ray diffraction stick pattern of La2Ti3NiO10 was calculated for copper Kα.
Kinematic intensities with the Lorentz-polarization factor, no thermal factor.

Top 6 peaks for 2θ from 10° to 90°, low angle first:
| hkl | d/Å | 2θ/deg | intensity |
| --- | --- | --- | --- |
| 1 0 5 | 3.129 | 28.5 | 100 |
| 1 1 0 | 2.727 | 32.8 | 36 |
| 1 0 7 | 2.715 | 33.0 | 70 |
| 2 0 0 | 1.928 | 47.1 | 51 |
| 2 1 5 | 1.642 | 56.0 | 29 |
| 2 0 12 | 1.458 | 63.8 | 30 |

Structural model:
```
data_La2Ti3NiO10
_space_group_name_H-M_alt 'I -4 m 2'
_space_group_IT_number 119
_space_group_name_Hall 'I -4 -2'
_cell_length_a 3.857
_cell_length_b 3.857
_cell_length_c 26.755
_cell_angle_alpha 90.00
_cell_angle_beta 90.00
_cell_angle_gamma 90.00
loop_
_atom_site_label
_atom_site_fract_x
_atom_site_fract_y
_atom_site_fract_z
La1 0.000 0.000 0.081
Ti1 0.000 0.000 0.341
Ti2 0.000 0.000 0.500
Ni1 0.000 0.500 0.250
O1 0.000 0.000 0.273
O2 0.000 0.000 0.427
O3 0.000 0.500 0.001
O4 0.000 0.500 0.144
O5 0.000 0.500 0.641
```

---

Starting from a PBE+U-relaxed structure, the X-ray diffraction stick pattern of La2TiNiO6 was calculated for copper Kα.
Kinematic intensities with the Lorentz-polarization factor, no thermal factor.

Top 6 peaks for 2θ from 10° to 90°, low angle first:
| hkl | d/Å | 2θ/deg | intensity |
| --- | --- | --- | --- |
| 0 0 2 | 3.963 | 22.4 | 24 |
| 0 2 0 | 2.821 | 31.7 | 23 |
| 1 1 1 | 2.801 | 32.0 | 100 |
| 2 0 -2 | 2.790 | 32.1 | 24 |
| 2 2 -2 | 1.984 | 45.7 | 26 |
| 2 0 2 | 1.613 | 57.1 | 34 |

Structural model:
```
data_La2TiNiO6
_space_group_name_H-M_alt 'P 1 21/c 1'
_space_group_IT_number 14
_space_group_name_Hall '-P 2ybc'
_cell_length_a 5.581
_cell_length_b 5.642
_cell_length_c 9.676
_cell_angle_alpha 90.00
_cell_angle_beta 125.18
_cell_angle_gamma 90.00
loop_
_atom_site_label
_atom_site_fract_x
_atom_site_fract_y
_atom_site_fract_z
La1 0.243 0.039 0.251
Ti1 0.000 0.000 0.500
Ni1 0.500 0.000 0.000
O1 0.157 0.217 0.955
O2 0.239 0.703 0.958
O3 0.325 0.021 0.743
```

---

Starting from a PBE+U-relaxed structure, the X-ray diffraction stick pattern of La2TiNiO6 was calculated for copper Kα.
Kinematic intensities with the Lorentz-polarization factor, no thermal factor.

Top 6 peaks for 2θ from 10° to 90°, low angle first:
| hkl | d/Å | 2θ/deg | intensity |
| --- | --- | --- | --- |
| 2 2 0 | 2.789 | 32.1 | 100 |
| 2 2 2 | 2.277 | 39.6 | 20 |
| 4 0 0 | 1.972 | 46.0 | 33 |
| 4 2 2 | 1.610 | 57.2 | 38 |
| 4 4 0 | 1.394 | 67.1 | 19 |
| 6 2 0 | 1.247 | 76.4 | 16 |

Structural model:
```
data_La2TiNiO6
_space_group_name_H-M_alt 'F m -3 m'
_space_group_IT_number 225
_space_group_name_Hall '-F 4 2 3'
_cell_length_a 7.888
_cell_length_b 7.888
_cell_length_c 7.888
_cell_angle_alpha 90.00
_cell_angle_beta 90.00
_cell_angle_gamma 90.00
loop_
_atom_site_label
_atom_site_fract_x
_atom_site_fract_y
_atom_site_fract_z
La1 0.250 0.250 0.250
Ti1 0.000 0.000 0.000
Ni1 0.000 0.000 0.500
O1 0.000 0.000 0.246
```

---

Starting from a PBE+U-relaxed structure, the X-ray diffraction stick pattern of La2ZrNiO6 was calculated for copper Kα.
Kinematic intensities with the Lorentz-polarization factor, no thermal factor.

Top 6 peaks for 2θ from 10° to 90°, low angle first:
| hkl | d/Å | 2θ/deg | intensity |
| --- | --- | --- | --- |
| 2 2 0 | 2.866 | 31.2 | 100 |
| 2 2 2 | 2.340 | 38.5 | 11 |
| 4 0 0 | 2.026 | 44.7 | 32 |
| 4 2 2 | 1.654 | 55.5 | 39 |
| 4 4 0 | 1.433 | 65.1 | 19 |
| 6 2 0 | 1.282 | 74.0 | 17 |

Structural model:
```
data_La2ZrNiO6
_space_group_name_H-M_alt 'F m -3 m'
_space_group_IT_number 225
_space_group_name_Hall '-F 4 2 3'
_cell_length_a 8.105
_cell_length_b 8.105
_cell_length_c 8.105
_cell_angle_alpha 90.00
_cell_angle_beta 90.00
_cell_angle_gamma 90.00
loop_
_atom_site_label
_atom_site_fract_x
_atom_site_fract_y
_atom_site_fract_z
La1 0.250 0.250 0.250
Zr1 0.000 0.000 0.000
Ni1 0.000 0.000 0.500
O1 0.000 0.000 0.254
```

---

Starting from a PBE+U-relaxed structure, the X-ray diffraction stick pattern of La5V3S6O7 was calculated for copper Kα.
Kinematic intensities with the Lorentz-polarization factor, no thermal factor.

Top 6 peaks for 2θ from 10° to 90°, low angle first:
| hkl | d/Å | 2θ/deg | intensity |
| --- | --- | --- | --- |
| 0 2 4 | 3.405 | 26.2 | 83 |
| 1 1 3 | 3.082 | 29.0 | 100 |
| 1 0 5 | 2.630 | 34.1 | 99 |
| 1 2 4 | 2.544 | 35.3 | 78 |
| 1 3 1 | 2.535 | 35.4 | 60 |
| 1 3 6 | 1.953 | 46.5 | 64 |

Structural model:
```
data_La5V3S6O7
_space_group_name_H-M_alt 'P m n 21'
_space_group_IT_number 31
_space_group_name_Hall 'P 2ac -2'
_cell_length_a 3.826
_cell_length_b 10.333
_cell_length_c 18.111
_cell_angle_alpha 90.00
_cell_angle_beta 90.00
_cell_angle_gamma 90.00
loop_
_atom_site_label
_atom_site_fract_x
_atom_site_fract_y
_atom_site_fract_z
La1 0.000 0.026 0.000
La2 0.000 0.031 0.770
La3 0.000 0.230 0.387
La4 0.000 0.584 0.549
La5 0.000 0.589 0.221
V1 0.000 0.247 0.193
V2 0.000 0.249 0.579
V3 0.000 0.312 0.886
S1 0.000 0.539 0.385
S2 0.000 0.646 0.005
S3 0.000 0.648 0.767
S4 0.000 0.850 0.623
S5 0.000 0.854 0.151
S6 0.000 0.858 0.385
O1 0.000 0.104 0.506
O2 0.000 0.113 0.262
O3 0.000 0.288 0.785
O4 0.000 0.292 0.987
O5 0.000 0.391 0.135
O6 0.000 0.404 0.641
O7 0.000 0.903 0.884
```